# 1
Computed XRD peak list
Compound: Zr2ScSi
Radiation: Cu Kα, 1.54184 Å
Structure: a cell relaxed with PBE
No peak broadening, texture or thermal motion is included.

Cell and atoms:
Cell: 4.1636 4.1636 9.2479 Å, 90.00 90.00 90.00°
Space group I-4m2 (No. 119)
Inequivalent atoms, fractional coordinates:
Zr (0.0000, 0.0000, 0.0000) x2
Zr (0.0000, 0.5000, 0.2500) x2
Sc (0.0000, 0.0000, 0.5000) x2
Si (0.0000, 0.5000, 0.7500) x2

Most intense lines, 2θ from 15° to 90°, low angle first:
hkl 1 0 1, 23.4 deg, rel. 27
hkl 1 1 2, 36.2 deg, rel. 100
hkl 0 0 4, 39.0 deg, rel. 18
hkl 2 0 0, 43.5 deg, rel. 27
hkl 2 0 4, 59.8 deg, rel. 20
hkl 1 1 6, 68.7 deg, rel. 13
hkl 3 1 2, 75.0 deg, rel. 21
hkl 2 2 4, 76.8 deg, rel. 9

***

# 2
Computed XRD peak list
Compound: PrNi5H7
Radiation: Cu Kα, 1.54184 Å
Structure: a cell relaxed with PBE
No peak broadening, texture or thermal motion is included.

Cell and atoms:
Cell: 7.4601 7.4643 7.4766 Å, 90.00 90.00 90.00°
Space group F222 (No. 22)
Inequivalent atoms, fractional coordinates:
Pr (0.0000, 0.0000, 0.0000) x4
Ni (0.1256, 0.1258, 0.3740) x16
Ni (0.2500, 0.2500, 0.7500) x4
H (0.0000, 0.0000, 0.5000) x4
H (0.0143, 0.2500, 0.7500) x8
H (0.2500, 0.0144, 0.7500) x8
H (0.2500, 0.2500, 0.5144) x8

Most intense lines, 2θ from 15° to 90°, low angle first:
hkl 2 2 0, 34.0 deg, rel. 42
hkl 3 1 1, 40.0 deg, rel. 100
hkl 2 2 2, 41.9 deg, rel. 28
hkl 4 2 2, 60.8 deg, rel. 15
hkl 3 3 3, 64.8 deg, rel. 15
hkl 5 1 1, 64.9 deg, rel. 15
hkl 4 4 0, 71.5 deg, rel. 23
hkl 5 3 3, 85.2 deg, rel. 10